1.
Structure and simulated powder diffraction line list of TeO6 (a PBE-relaxed structure; Cu Kα (λ = 1.5418 Å)).
Kinematic intensities with the Lorentz-polarization factor, no thermal factor.

Largest 8 diffraction maxima, low angle first, 2θ from 10° to 80°:
- d 4.162, 2θ 21.4, I = 100
- d 3.604, 2θ 24.7, I = 33
- d 2.549, 2θ 35.2, I = 34
- d 2.173, 2θ 41.6, I = 59
- d 2.081, 2θ 43.5, I = 22
- d 1.654, 2θ 55.6, I = 22
- d 1.612, 2θ 57.1, I = 26
- d 1.218, 2θ 78.5, I = 17

Crystal structure
Cell lengths 10.1942, 10.1942, 10.1942 Å; angles 60.00, 60.00, 60.00 degrees
Fractional coordinates of all 56 atoms:
Te  0.0000  0.0000  0.0000
Te  0.0000  0.0000  0.5000
Te  0.0000  0.5000  0.0000
Te  0.0000  0.5000  0.5000
Te  0.5000  0.0000  0.0000
Te  0.5000  0.0000  0.5000
Te  0.5000  0.5000  0.0000
Te  0.5000  0.5000  0.5000
O  0.0144  0.2459  0.3297
O  0.0144  0.3297  0.9100
O  0.0144  0.9100  0.2459
O  0.0900  0.6703  0.7541
O  0.0900  0.7541  0.9856
O  0.0900  0.9856  0.6703
O  0.1703  0.2541  0.4856
O  0.1703  0.4856  0.5900
O  0.1703  0.5900  0.2541
O  0.2459  0.0144  0.9100
O  0.2459  0.3297  0.0144
O  0.2459  0.9100  0.3297
O  0.2541  0.1703  0.5900
O  0.2541  0.4856  0.1703
O  0.2541  0.5900  0.4856
O  0.3297  0.0144  0.2459
O  0.3297  0.2459  0.9100
O  0.3297  0.9100  0.0144
O  0.4100  0.5144  0.7459
O  0.4100  0.7459  0.8297
O  0.4100  0.8297  0.5144
O  0.4856  0.1703  0.2541
O  0.4856  0.2541  0.5900
O  0.4856  0.5900  0.1703
O  0.5144  0.4100  0.8297
O  0.5144  0.7459  0.4100
O  0.5144  0.8297  0.7459
O  0.5900  0.1703  0.4856
O  0.5900  0.2541  0.1703
O  0.5900  0.4856  0.2541
O  0.6703  0.0900  0.9856
O  0.6703  0.7541  0.0900
O  0.6703  0.9856  0.7541
O  0.7459  0.4100  0.5144
O  0.7459  0.5144  0.8297
O  0.7459  0.8297  0.4100
O  0.7541  0.0900  0.6703
O  0.7541  0.6703  0.9856
O  0.7541  0.9856  0.0900
O  0.8297  0.4100  0.7459
O  0.8297  0.5144  0.4100
O  0.8297  0.7459  0.5144
O  0.9100  0.0144  0.3297
O  0.9100  0.2459  0.0144
O  0.9100  0.3297  0.2459
O  0.9856  0.0900  0.7541
O  0.9856  0.6703  0.0900
O  0.9856  0.7541  0.6703

***

2.
Structure and simulated powder diffraction line list of CeZnAgP2 (a PBE-relaxed structure; Cu Kα (λ = 1.5418 Å)).
Kinematic intensities with the Lorentz-polarization factor, no thermal factor.

Largest 8 diffraction maxima, low angle first, 2θ from 10° to 80°:
- d 3.184, 2θ 28.0, I = 100
- d 2.464, 2θ 36.5, I = 66
- d 2.085, 2θ 43.4, I = 50
- d 1.744, 2θ 52.5, I = 17
- d 1.592, 2θ 57.9, I = 16
- d 1.528, 2θ 60.6, I = 30
- d 1.338, 2θ 70.4, I = 14
- d 1.265, 2θ 75.1, I = 15

Crystal structure
Cell lengths 4.1705, 4.1705, 6.7415 Å; angles 90.00, 90.00, 120.00 degrees
Fractional coordinates of all 5 atoms:
Ce  0.0000  0.0000  0.0000
Zn  0.3333  0.6667  0.6235
Ag  0.6667  0.3333  0.3571
P  0.3333  0.6667  0.2393
P  0.6667  0.3333  0.7453

***

3.
Structure and simulated powder diffraction line list of CsMg6AlO8 (a PBE-relaxed structure; Cu Kα (λ = 1.5418 Å)).
Kinematic intensities with the Lorentz-polarization factor, no thermal factor.

Largest 8 diffraction maxima, low angle first, 2θ from 10° to 80°:
- d 4.668, 2θ 19.0, I = 32
- d 4.130, 2θ 21.5, I = 35
- d 3.213, 2θ 27.8, I = 27
- d 2.647, 2θ 33.9, I = 49
- d 2.334, 2θ 38.6, I = 100
- d 2.215, 2θ 40.7, I = 38
- d 1.651, 2θ 55.7, I = 31
- d 1.607, 2θ 57.4, I = 50

Crystal structure
Cell lengths 4.6684, 4.6684, 8.8584 Å; angles 90.00, 90.00, 90.00 degrees
Fractional coordinates of all 16 atoms:
Cs  0.0000  0.0000  0.0000
Mg  0.0000  0.0000  0.5000
Mg  0.0000  0.5000  0.2584
Mg  0.0000  0.5000  0.7416
Mg  0.5000  0.0000  0.2584
Mg  0.5000  0.0000  0.7416
Mg  0.5000  0.5000  0.5000
Al  0.5000  0.5000  0.0000
O  0.0000  0.0000  0.2883
O  0.0000  0.0000  0.7117
O  0.0000  0.5000  0.0000
O  0.0000  0.5000  0.5000
O  0.5000  0.0000  0.0000
O  0.5000  0.0000  0.5000
O  0.5000  0.5000  0.2219
O  0.5000  0.5000  0.7781

***

4.
Structure and simulated powder diffraction line list of Rb6InP3S14 (a PBE-relaxed structure; Cu Kα (λ = 1.5418 Å)).
Kinematic intensities with the Lorentz-polarization factor, no thermal factor.

Largest 8 diffraction maxima, low angle first, 2θ from 10° to 80°:
- d 4.319, 2θ 20.6, I = 55
- d 4.132, 2θ 21.5, I = 56
- d 3.806, 2θ 23.4, I = 44
- d 3.362, 2θ 26.5, I = 63
- d 3.165, 2θ 28.2, I = 100
- d 3.091, 2θ 28.9, I = 64
- d 2.890, 2θ 30.9, I = 32
- d 2.818, 2θ 31.8, I = 30

Crystal structure
Cell lengths 11.5750, 11.5750, 13.3841 Å; angles 105.80, 105.80, 58.28 degrees
Fractional coordinates of all 48 atoms:
Rb  0.0212  0.7896  0.9129
Rb  0.1022  0.3273  0.8502
Rb  0.2021  0.5639  0.5099
Rb  0.2104  0.9788  0.5871
Rb  0.3273  0.1022  0.3502
Rb  0.4361  0.7979  0.9901
Rb  0.5639  0.2021  0.0099
Rb  0.6727  0.8978  0.6498
Rb  0.7896  0.0212  0.4129
Rb  0.7979  0.4361  0.4901
Rb  0.8978  0.6727  0.1498
Rb  0.9788  0.2104  0.0871
In  0.3660  0.6340  0.2500
In  0.6340  0.3660  0.7500
P  0.0580  0.9420  0.2500
P  0.2742  0.3423  0.1706
P  0.3423  0.2742  0.6706
P  0.6577  0.7258  0.3294
P  0.7258  0.6577  0.8294
P  0.9420  0.0580  0.7500
S  0.0303  0.1196  0.3485
S  0.1196  0.0303  0.8485
S  0.1334  0.4052  0.2620
S  0.1333  0.7859  0.3388
S  0.1694  0.3039  0.5673
S  0.2141  0.8667  0.1612
S  0.2445  0.4947  0.0986
S  0.2739  0.4782  0.7597
S  0.3039  0.1694  0.0673
S  0.4052  0.1334  0.7620
S  0.4411  0.4724  0.8679
S  0.4724  0.4411  0.3679
S  0.4782  0.2739  0.2597
S  0.4947  0.2445  0.5986
S  0.5053  0.7555  0.4014
S  0.5218  0.7261  0.7403
S  0.5276  0.5589  0.6321
S  0.5589  0.5276  0.1321
S  0.5948  0.8666  0.2380
S  0.6961  0.8306  0.9327
S  0.7261  0.5218  0.2403
S  0.7555  0.5053  0.9014
S  0.7859  0.1333  0.8388
S  0.8306  0.6961  0.4327
S  0.8667  0.2141  0.6612
S  0.8666  0.5948  0.7380
S  0.8804  0.9697  0.1515
S  0.9697  0.8804  0.6515

***

5.
Structure and simulated powder diffraction line list of PmMgAg2 (a PBE-relaxed structure; Cu Kα (λ = 1.5418 Å)).
Kinematic intensities with the Lorentz-polarization factor, no thermal factor.

Largest 8 diffraction maxima, low angle first, 2θ from 10° to 80°:
- d 4.120, 2θ 21.6, I = 22
- d 2.523, 2θ 35.6, I = 100
- d 2.151, 2θ 42.0, I = 12
- d 1.784, 2θ 51.2, I = 17
- d 1.637, 2θ 56.2, I = 5
- d 1.456, 2θ 63.9, I = 35
- d 1.373, 2θ 68.3, I = 4
- d 1.261, 2θ 75.4, I = 11

Crystal structure
Cell lengths 7.1352, 7.1352, 7.1352 Å; angles 90.00, 90.00, 90.00 degrees
Fractional coordinates of all 16 atoms:
Pm  0.0000  0.0000  0.0000
Pm  0.0000  0.5000  0.5000
Pm  0.5000  0.0000  0.5000
Pm  0.5000  0.5000  0.0000
Mg  0.0000  0.0000  0.5000
Mg  0.0000  0.5000  0.0000
Mg  0.5000  0.0000  0.0000
Mg  0.5000  0.5000  0.5000
Ag  0.2500  0.2500  0.2500
Ag  0.2500  0.2500  0.7500
Ag  0.2500  0.7500  0.2500
Ag  0.2500  0.7500  0.7500
Ag  0.7500  0.2500  0.2500
Ag  0.7500  0.2500  0.7500
Ag  0.7500  0.7500  0.2500
Ag  0.7500  0.7500  0.7500

***

6.
Structure and simulated powder diffraction line list of Y6PdBr10 (a PBE-relaxed structure; Cu Kα (λ = 1.5418 Å)).
Kinematic intensities with the Lorentz-polarization factor, no thermal factor.

Largest 8 diffraction maxima, low angle first, 2θ from 10° to 80°:
- d 8.591, 2θ 10.3, I = 44
- d 8.309, 2θ 10.6, I = 42
- d 2.986, 2θ 29.9, I = 99
- d 2.941, 2θ 30.4, I = 100
- d 2.916, 2θ 30.7, I = 97
- d 2.109, 2θ 42.9, I = 35
- d 2.082, 2θ 43.5, I = 35
- d 2.058, 2θ 44.0, I = 35

Crystal structure
Cell lengths 7.3648, 9.2383, 9.2791 Å; angles 108.19, 97.04, 105.39 degrees
Fractional coordinates of all 17 atoms:
Y  0.0268  0.1966  0.4039
Y  0.1252  0.5444  0.2495
Y  0.3658  0.6385  0.6807
Y  0.6342  0.3615  0.3193
Y  0.8748  0.4556  0.7505
Y  0.9732  0.8034  0.5961
Pd  0.0000  0.5000  0.5000
Br  0.0858  0.8710  0.3264
Br  0.2131  0.2400  0.1504
Br  0.2545  0.5852  0.9617
Br  0.3580  0.9583  0.7743
Br  0.4520  0.3233  0.5861
Br  0.5480  0.6767  0.4139
Br  0.6420  0.0417  0.2257
Br  0.7455  0.4148  0.0383
Br  0.7869  0.7600  0.8496
Br  0.9142  0.1290  0.6736

***

7.
Structure and simulated powder diffraction line list of Ba5Si3 (a PBE-relaxed structure; Cu Kα (λ = 1.5418 Å)).
Kinematic intensities with the Lorentz-polarization factor, no thermal factor.

Largest 8 diffraction maxima, low angle first, 2θ from 10° to 80°:
- d 3.674, 2θ 24.2, I = 42
- d 3.132, 2θ 28.5, I = 100
- d 2.986, 2θ 29.9, I = 76
- d 2.975, 2θ 30.0, I = 26
- d 2.661, 2θ 33.7, I = 37
- d 2.037, 2θ 44.5, I = 24
- d 1.920, 2θ 47.4, I = 30
- d 1.797, 2θ 50.8, I = 27

Crystal structure
Cell lengths 8.4153, 8.4153, 16.9542 Å; angles 90.00, 90.00, 90.00 degrees
Fractional coordinates of all 32 atoms:
Ba  0.0577  0.5775  0.1067
Ba  0.0577  0.9225  0.6067
Ba  0.0775  0.5577  0.3933
Ba  0.0775  0.9423  0.8933
Ba  0.2500  0.2500  0.2292
Ba  0.2500  0.2500  0.7292
Ba  0.4225  0.5577  0.8933
Ba  0.4225  0.9423  0.3933
Ba  0.4423  0.5775  0.6067
Ba  0.4423  0.9225  0.1067
Ba  0.5577  0.0775  0.8933
Ba  0.5577  0.4225  0.3933
Ba  0.5775  0.0577  0.6067
Ba  0.5775  0.4423  0.1067
Ba  0.7500  0.7500  0.2708
Ba  0.7500  0.7500  0.7708
Ba  0.9225  0.0577  0.1067
Ba  0.9225  0.4423  0.6067
Ba  0.9423  0.0775  0.3933
Ba  0.9423  0.4225  0.8933
Si  0.1487  0.6487  0.7500
Si  0.1487  0.8513  0.2500
Si  0.2500  0.2500  0.0154
Si  0.2500  0.2500  0.5154
Si  0.3513  0.6487  0.2500
Si  0.3513  0.8513  0.7500
Si  0.6487  0.1487  0.2500
Si  0.6487  0.3513  0.7500
Si  0.7500  0.7500  0.4846
Si  0.7500  0.7500  0.9846
Si  0.8513  0.1487  0.7500
Si  0.8513  0.3513  0.2500

***

8.
Structure and simulated powder diffraction line list of NaNbO3 (a PBE-relaxed structure; Cu Kα (λ = 1.5418 Å)).
Kinematic intensities with the Lorentz-polarization factor, no thermal factor.

Largest 8 diffraction maxima, low angle first, 2θ from 10° to 80°:
- d 3.970, 2θ 22.4, I = 86
- d 3.926, 2θ 22.7, I = 40
- d 2.807, 2θ 31.9, I = 45
- d 2.791, 2θ 32.1, I = 100
- d 1.985, 2θ 45.7, I = 41
- d 1.618, 2θ 56.9, I = 43
- d 1.609, 2θ 57.3, I = 22
- d 1.396, 2θ 67.1, I = 19

Crystal structure
Cell lengths 5.5811, 5.5811, 7.9443 Å; angles 90.00, 90.00, 90.60 degrees
Fractional coordinates of all 20 atoms:
Na  0.0035  0.9965  0.7500
Na  0.4891  0.5109  0.2500
Na  0.5109  0.4891  0.7500
Na  0.9965  0.0035  0.2500
Nb  0.0000  0.5000  0.0000
Nb  0.0000  0.5000  0.5000
Nb  0.5000  0.0000  0.0000
Nb  0.5000  0.0000  0.5000
O  0.0467  0.5336  0.2500
O  0.2070  0.2070  0.0000
O  0.2070  0.2070  0.5000
O  0.2911  0.7089  0.5392
O  0.2911  0.7089  0.9608
O  0.4664  0.9533  0.2500
O  0.5336  0.0467  0.7500
O  0.7089  0.2911  0.0392
O  0.7089  0.2911  0.4608
O  0.7930  0.7930  0.0000
O  0.7930  0.7930  0.5000
O  0.9533  0.4664  0.7500